For LaMn3Os, a structure optimized by DFT (GGA-PBE) gives the theoretical XRD peak list in this record (Cu Kα, 1.54184 Å).
Neutral-atom scattering factors, no anomalous dispersion.

Structure:
Cell lengths 4.769, 4.769, 4.769 Å; angles 90.00, 90.00, 90.00 degrees
Space group Pm-3m (No. 221)
One atom of each set of equivalent atoms:
La  0.000  0.000  0.000 x1
Mn  0.000  0.500  0.500 x3
Os  0.500  0.500  0.500 x1

Top 10 peaks for 15 to 90 degrees two-theta, by angle:
(1 0 0), d = 4.769 Å, I = 18
(1 1 0), d = 3.373 Å, I = 100
(2 0 0), d = 2.385 Å, I = 67
(2 1 0), d = 2.133 Å, I = 9
(2 1 1), d = 1.947 Å, I = 44
(2 2 0), d = 1.686 Å, I = 45
(3 1 0), d = 1.508 Å, I = 20
(2 2 2), d = 1.377 Å, I = 15
(3 2 1), d = 1.275 Å, I = 23
(4 1 1), d = 1.124 Å, I = 12

For La2MnP, a structure optimized by DFT (GGA-PBE) gives the theoretical XRD peak list in this record (Cu Kα, 1.54184 Å).
Neutral-atom scattering factors, no anomalous dispersion.

Structure:
Cell lengths 4.177, 4.227, 11.255 Å; angles 90.00, 90.00, 90.00 degrees
Space group Amm2 (No. 38)
One atom of each set of equivalent atoms:
La  0.000  0.000  0.000 x2
La  0.500  0.000  0.284 x2
Mn  0.000  0.000  0.704 x2
P  0.500  0.000  0.578 x2

Top 10 peaks for 15 to 90 degrees two-theta, by angle:
(0 1 1), d = 3.957 Å, I = 15
(1 0 2), d = 3.354 Å, I = 51
(1 1 1), d = 2.873 Å, I = 100
(0 1 3), d = 2.808 Å, I = 83
(1 1 3), d = 2.331 Å, I = 55
(0 2 0), d = 2.113 Å, I = 22
(2 0 0), d = 2.088 Å, I = 21
(1 2 2), d = 1.788 Å, I = 18
(2 1 3), d = 1.676 Å, I = 35
(2 2 4), d = 1.313 Å, I = 18

For LaPa2MnS8, a structure optimized by DFT (GGA-PBE) gives the theoretical XRD peak list in this record (Cu Kα, 1.54184 Å).
Neutral-atom scattering factors, no anomalous dispersion.

Structure:
Cell lengths 6.148, 8.104, 6.350 Å; angles 90.00, 94.47, 90.00 degrees
Space group P2/m (No. 10)
One atom of each set of equivalent atoms:
La  0.000  0.000  0.000 x1
Pa  0.500  0.259  0.500 x2
Mn  0.000  0.500  0.000 x1
S  0.213  0.290  0.168 x4
S  0.288  0.500  0.664 x2
S  0.295  0.000  0.658 x2

Top 10 peaks for 15 to 90 degrees two-theta, by angle:
(1 0 -1), d = 4.586 Å, I = 100
(1 0 1), d = 4.241 Å, I = 81
(0 2 1), d = 3.413 Å, I = 53
(1 2 0), d = 3.380 Å, I = 68
(1 2 -1), d = 3.036 Å, I = 33
(1 2 -2), d = 2.362 Å, I = 37
(2 2 -1), d = 2.329 Å, I = 48
(1 2 2), d = 2.262 Å, I = 29
(2 2 1), d = 2.234 Å, I = 36
(0 2 3), d = 1.872 Å, I = 30

For LaPaMnS6, a structure optimized by DFT (GGA-PBE) gives the theoretical XRD peak list in this record (Cu Kα, 1.54184 Å).
Neutral-atom scattering factors, no anomalous dispersion.

Structure:
Cell lengths 6.5012, 6.5012, 5.8836 Å; angles 90.00, 90.00, 120.00 degrees
Space group P312 (No. 149)
One atom of each set of equivalent atoms:
La  0.0000  0.0000  0.0000 x1
Pa  0.6667  0.3333  0.5000 x1
Mn  0.3333  0.6667  0.0000 x1
S  0.0257  0.3892  0.2413 x6

Top 10 peaks for 15 to 90 degrees two-theta, by angle:
(1 0 0), d = 5.630 Å, I = 16
(1 0 1), d = 4.068 Å, I = 100
(1 1 0), d = 3.251 Å, I = 28
(2 0 1), d = 2.539 Å, I = 30
(2 -1 2), d = 2.181 Å, I = 45
(2 1 1), d = 2.001 Å, I = 31
(3 0 0), d = 1.877 Å, I = 17
(1 0 3), d = 1.852 Å, I = 12
(4 -1 1), d = 1.509 Å, I = 13
(2 2 2), d = 1.423 Å, I = 11

For LaMn3Pd, a structure optimized by DFT (GGA-PBE) gives the theoretical XRD peak list in this record (Cu Kα, 1.54184 Å).
Neutral-atom scattering factors, no anomalous dispersion.

Structure:
Cell lengths 4.608, 4.608, 4.608 Å; angles 90.00, 90.00, 90.00 degrees
Space group Pm-3m (No. 221)
One atom of each set of equivalent atoms:
La  0.000  0.000  0.000 x1
Mn  0.000  0.000  0.500 x3
Pd  0.500  0.500  0.500 x1

Top 10 peaks for 15 to 90 degrees two-theta, by angle:
(1 0 0), d = 4.608 Å, I = 24
(1 1 0), d = 3.258 Å, I = 100
(1 1 1), d = 2.661 Å, I = 22
(2 0 0), d = 2.304 Å, I = 92
(2 1 0), d = 2.061 Å, I = 11
(2 1 1), d = 1.881 Å, I = 42
(2 2 0), d = 1.629 Å, I = 60
(3 1 0), d = 1.457 Å, I = 19
(2 2 2), d = 1.330 Å, I = 20
(3 2 1), d = 1.232 Å, I = 21

For LaMn2Pd2, a structure optimized by DFT (GGA-PBE) gives the theoretical XRD peak list in this record (Cu Kα, 1.54184 Å).
Neutral-atom scattering factors, no anomalous dispersion.

Structure:
Cell lengths 7.674, 7.674, 2.873 Å; angles 90.00, 90.00, 90.00 degrees
Space group P4/mbm (No. 127)
One atom of each set of equivalent atoms:
La  0.000  0.000  0.000 x2
Mn  0.089  0.411  0.000 x4
Pd  0.195  0.695  0.500 x4

Top 10 peaks for 15 to 90 degrees two-theta, by angle:
(2 1 0), d = 3.432 Å, I = 14
(2 2 0), d = 2.713 Å, I = 53
(3 1 0), d = 2.427 Å, I = 42
(2 0 1), d = 2.300 Å, I = 100
(2 1 1), d = 2.203 Å, I = 47
(3 2 0), d = 2.128 Å, I = 18
(4 1 0), d = 1.861 Å, I = 25
(3 3 1), d = 1.531 Å, I = 19
(5 1 1), d = 1.333 Å, I = 24
(5 3 0), d = 1.316 Å, I = 13

For La2MnSb4Pd3, a structure optimized by DFT (GGA-PBE) gives the theoretical XRD peak list in this record (Cu Kα, 1.54184 Å).
Neutral-atom scattering factors, no anomalous dispersion.

Structure:
Cell lengths 4.609, 4.609, 10.976 Å; angles 90.00, 90.00, 90.00 degrees
Space group P-4m2 (No. 115)
One atom of each set of equivalent atoms:
La  0.000  0.500  0.247 x2
Mn  0.500  0.500  0.000 x1
Sb  0.000  0.000  0.500 x1
Sb  0.000  0.500  0.869 x2
Sb  0.500  0.500  0.500 x1
Pd  0.000  0.000  0.000 x1
Pd  0.000  0.500  0.630 x2

Top 10 peaks for 15 to 90 degrees two-theta, by angle:
(1 0 3), d = 2.866 Å, I = 67
(1 1 2), d = 2.802 Å, I = 100
(2 0 0), d = 2.305 Å, I = 74
(1 1 4), d = 2.099 Å, I = 29
(1 0 5), d = 1.982 Å, I = 30
(2 1 3), d = 1.796 Å, I = 34
(2 2 0), d = 1.630 Å, I = 25
(2 1 5), d = 1.503 Å, I = 25
(3 1 2), d = 1.409 Å, I = 23
(2 0 8), d = 1.179 Å, I = 16

For La2MnSnPd6, a structure optimized by DFT (GGA-PBE) gives the theoretical XRD peak list in this record (Cu Kα, 1.54184 Å).
Neutral-atom scattering factors, no anomalous dispersion.

Structure:
Cell lengths 5.614, 6.599, 6.719 Å; angles 73.07, 65.41, 64.94 degrees
Space group P-1 (No. 2)
One atom of each set of equivalent atoms:
La  0.001  0.244  0.253 x2
Mn  0.500  0.000  0.500 x1
Sn  0.500  0.500  0.000 x1
Pd  0.010  0.189  0.798 x2
Pd  0.316  0.430  0.439 x2
Pd  0.498  0.813  0.200 x2

Top 10 peaks for 15 to 90 degrees two-theta, by angle:
(1 0 2), d = 3.069 Å, I = 50
(1 2 0), d = 3.034 Å, I = 46
(0 1 -2), d = 2.552 Å, I = 57
(2 0 1), d = 2.540 Å, I = 27
(2 0 0), d = 2.390 Å, I = 100
(2 0 2), d = 2.291 Å, I = 67
(0 2 2), d = 2.280 Å, I = 60
(1 0 -2), d = 2.237 Å, I = 65
(1 -2 0), d = 2.197 Å, I = 61
(0 2 -2), d = 1.982 Å, I = 29

For LaPrMn4Si4, a structure optimized by DFT (GGA-PBE) gives the theoretical XRD peak list in this record (Cu Kα, 1.54184 Å).
Neutral-atom scattering factors, no anomalous dispersion.

Structure:
Cell lengths 3.996, 3.996, 10.607 Å; angles 90.00, 90.00, 90.00 degrees
Space group P4/mmm (No. 123)
One atom of each set of equivalent atoms:
La  0.000  0.000  0.000 x1
Pr  0.500  0.500  0.500 x1
Mn  0.000  0.500  0.252 x4
Si  0.000  0.000  0.375 x2
Si  0.500  0.500  0.129 x2

Top 10 peaks for 15 to 90 degrees two-theta, by angle:
(1 0 1), d = 3.740 Å, I = 44
(0 0 4), d = 2.649 Å, I = 80
(1 1 2), d = 2.494 Å, I = 100
(2 0 0), d = 1.998 Å, I = 39
(1 0 5), d = 1.874 Å, I = 21
(2 0 4), d = 1.595 Å, I = 41
(1 1 6), d = 1.499 Å, I = 20
(2 2 0), d = 1.413 Å, I = 12
(2 1 5), d = 1.367 Å, I = 15
(3 1 2), d = 1.229 Å, I = 19

For RbLa2Mn, a structure optimized by DFT (GGA-PBE) gives the theoretical XRD peak list in this record (Cu Kα, 1.54184 Å).
Neutral-atom scattering factors, no anomalous dispersion.

Structure:
Cell lengths 11.319, 11.319, 11.319 Å; angles 90.00, 90.00, 90.00 degrees
Space group Fd-3m (No. 227, origin choice 2)
One atom of each set of equivalent atoms:
Rb  0.125  0.125  0.125 x8
La  0.000  0.000  0.500 x16
Mn  0.125  0.125  0.625 x8

Top 10 peaks for 15 to 90 degrees two-theta, by angle:
(2 2 0), d = 4.002 Å, I = 63
(3 1 1), d = 3.413 Å, I = 100
(2 2 2), d = 3.267 Å, I = 89
(3 3 1), d = 2.597 Å, I = 26
(4 2 2), d = 2.310 Å, I = 28
(5 1 1), d = 2.178 Å, I = 39
(4 4 0), d = 2.001 Å, I = 77
(6 2 2), d = 1.706 Å, I = 41
(7 3 1), d = 1.474 Å, I = 26
(8 4 4), d = 1.155 Å, I = 25

For La3MnS5, a structure optimized by DFT (GGA-PBE) gives the theoretical XRD peak list in this record (Cu Kα, 1.54184 Å).
Neutral-atom scattering factors, no anomalous dispersion.

Structure:
Cell lengths 8.1473, 8.1473, 7.0216 Å; angles 90.00, 90.00, 120.00 degrees
Space group P6_3/mcm (No. 193)
One atom of each set of equivalent atoms:
La  0.0000  0.4011  0.2500 x6
Mn  0.0000  0.0000  0.0000 x2
S  0.0000  0.2392  0.7500 x6
S  0.3333  0.6667  0.0000 x4

Top 10 peaks for 15 to 90 degrees two-theta, by angle:
(1 1 1), d = 3.525 Å, I = 100
(0 0 2), d = 3.511 Å, I = 34
(1 1 2), d = 2.660 Å, I = 72
(2 1 1), d = 2.492 Å, I = 84
(3 0 0), d = 2.352 Å, I = 29
(2 2 1), d = 1.956 Å, I = 18
(3 1 1), d = 1.885 Å, I = 38
(2 1 3), d = 1.759 Å, I = 23
(3 1 3), d = 1.501 Å, I = 18
(5 0 2), d = 1.310 Å, I = 24

For La2Mn2Se2S3, a structure optimized by DFT (GGA-PBE) gives the theoretical XRD peak list in this record (Cu Kα, 1.54184 Å).
Neutral-atom scattering factors, no anomalous dispersion.

Structure:
Cell lengths 4.692, 4.692, 19.278 Å; angles 90.00, 90.00, 90.00 degrees
Space group I4/mmm (No. 139)
One atom of each set of equivalent atoms:
La  0.000  0.000  0.171 x4
Mn  0.000  0.500  0.000 x4
Se  0.000  0.000  0.409 x4
S  0.000  0.000  0.000 x2
S  0.000  0.500  0.250 x4

Top 10 peaks for 15 to 90 degrees two-theta, by angle:
(1 0 3), d = 3.789 Å, I = 68
(1 1 0), d = 3.317 Å, I = 43
(1 0 5), d = 2.979 Å, I = 100
(1 1 4), d = 2.733 Å, I = 84
(2 0 0), d = 2.346 Å, I = 85
(2 1 3), d = 1.995 Å, I = 24
(1 1 8), d = 1.949 Å, I = 50
(2 1 5), d = 1.843 Å, I = 48
(2 2 0), d = 1.659 Å, I = 28
(2 0 12), d = 1.325 Å, I = 23